The following is a theoretical powder XRD pattern of Ba2DyFeO5. It was derived from a cell relaxed with PBE+U, using Cu Ka.
Neutral-atom scattering factors, no anomalous dispersion.

Structure:
```
Ba2DyFeO5
1.0
1.7868 -7.5412 0.0000
1.7868 7.5412 0.0000
0.0000 0.0000 11.5211
Ba Dy Fe O
4 2 2 10
Cartesian
1.7868 5.9475 5.7606
1.7868 5.4534 1.7791
1.7868 -5.4534 7.5397
1.7868 -5.9475 0.0000
1.7868 4.4534 9.9194
1.7868 -4.4534 4.1588
1.7868 0.7397 3.0246
1.7868 -0.7397 8.7852
1.7868 6.9280 9.6285
1.7868 3.1786 5.5764
1.7868 2.6357 2.6445
1.7868 2.3213 9.6034
1.7868 0.0569 7.1173
1.7868 -0.0569 1.3567
1.7868 -2.3213 3.8428
1.7868 -2.6357 8.4051
1.7868 -3.1786 11.3370
1.7868 -6.9280 3.8679
```

The 10 most intense peaks (10° ≤ 2θ ≤ 90°), sorted by position:
2θ = 19.39°, I 22; 2θ = 24.85°, I 28; 2θ = 25.62°, I 20; 2θ = 26.04°, I 85; 2θ = 28.29°, I 24; 2θ = 30.70°, I 44; 2θ = 31.69°, I 46; 2θ = 34.80°, I 100; 2θ = 36.59°, I 41; 2θ = 42.23°, I 31